The following is a theoretical X-ray diffraction stick pattern of PuHf. It was derived from a DFT-relaxed cell (PBE, Alexandria), using a wavelength of 1.5418 Å.
Intensities are scaled so that the largest is 100.

The 10 most intense peaks (10 to 80 degrees two-theta), low angle first:
| (hkl) | 2θ/deg | d_spacing | I_rel |
| --- | --- | --- | --- |
| 0 0 1 | 11.55 | 7.665 | 34.9 |
| 0 0 2 | 23.21 | 3.832 | 17.8 |
| 0 0 3 | 35.13 | 2.555 | 17.3 |
| 1 0 2 | 36.09 | 2.488 | 100.0 |
| 1 1 0 | 38.92 | 2.314 | 64.7 |
| 1 1 2 | 45.81 | 1.981 | 12.3 |
| 1 1 3 | 53.43 | 1.715 | 21.3 |
| 2 0 0 | 56.22 | 1.636 | 22.7 |
| 1 0 5 | 67.47 | 1.388 | 23.5 |
| 2 1 2 | 68.65 | 1.367 | 31.6 |

Crystal structure
```
data_PuHf
_chemical_formula_sum 'Pu2 Hf2'
_cell_length_a 3.272
_cell_length_b 3.272
_cell_length_c 7.665
_cell_angle_alpha 90.00
_cell_angle_beta 90.00
_cell_angle_gamma 90.00
_space_group_name_H-M_alt 'P 1'
_space_group_IT_number 1
_space_group_name_Hall 'P 1'
loop_
_atom_site_label
_atom_site_fract_x
_atom_site_fract_y
_atom_site_fract_z
Pu1 0.250 0.250 0.056
Pu2 0.750 0.750 0.944
Hf1 0.250 0.250 0.635
Hf2 0.750 0.750 0.365
```